[1]
Starting from a DFT-relaxed cell (GGA-PBE, Alexandria), the powder diffractogram of La2Pr3Sc2 was computed for λ = 1.5418 Å (Cu Kα).
Intensities are scaled so that the largest is 100.

Structural model:
Cell: 8.615 8.615 8.822 Å, 118.04 118.04 23.93°
Fractional coordinates of all 7 atoms:
La 0.132 0.132 0.318
La 0.868 0.868 0.682
Pr 0.204 0.204 0.797
Pr 0.500 0.500 0.500
Pr 0.796 0.796 0.203
Sc 0.430 0.430 0.069
Sc 0.570 0.570 0.931

Peak list (10 most intense, 2θ from 10° to 90°, sorted by position)
2θ = 24.0°, 3.706 Å, rel. 27; 2θ = 29.8°, 3.000 Å, rel. 77; 2θ = 30.8°, 2.902 Å, rel. 73; 2θ = 30.9°, 2.892 Å, rel. 96; 2θ = 31.3°, 2.854 Å, rel. 68; 2θ = 32.4°, 2.763 Å, rel. 67; 2θ = 32.7°, 2.742 Å, rel. 100; 2θ = 45.5°, 1.994 Å, rel. 27; 2θ = 47.8°, 1.902 Å, rel. 41; 2θ = 58.4°, 1.580 Å, rel. 21

[2]
Starting from a DFT-relaxed cell (GGA-PBE, Alexandria), the powder diffractogram of LaAl2Pt5 was computed for λ = 1.5418 Å (Cu Kα).
Intensities are scaled so that the largest is 100.

Structural model:
Cell: 6.490 6.490 6.490 Å, 144.40 113.26 77.99°
Fractional coordinates of all 8 atoms:
La 0.000 0.000 0.000
Al 0.259 0.759 0.500
Al 0.741 0.241 0.500
Pt 0.157 0.355 0.801
Pt 0.446 0.645 0.801
Pt 0.500 0.000 0.500
Pt 0.554 0.355 0.199
Pt 0.843 0.645 0.199

Peak list (10 most intense, 2θ from 10° to 90°, sorted by position)
2θ = 15.2°, 5.828 Å, rel. 15; 2θ = 30.7°, 2.914 Å, rel. 12; 2θ = 35.0°, 2.566 Å, rel. 100; 2θ = 44.0°, 2.060 Å, rel. 22; 2θ = 44.4°, 2.041 Å, rel. 19; 2θ = 45.7°, 1.984 Å, rel. 15; 2θ = 46.8°, 1.943 Å, rel. 9; 2θ = 65.3°, 1.429 Å, rel. 14; 2θ = 75.0°, 1.267 Å, rel. 11; 2θ = 77.5°, 1.231 Å, rel. 10

[3]
Starting from a DFT-relaxed cell (GGA-PBE, Alexandria), the powder diffractogram of Re3Os2 was computed for λ = 1.5418 Å (Cu Kα).
Intensities are scaled so that the largest is 100.

Structural model:
Cell: 7.031 5.297 8.125 Å, 58.76 40.10 81.13°
Fractional coordinates of all 10 atoms:
Re 0.000 0.000 0.000
Re 0.250 0.250 0.250
Re 0.423 0.524 0.376
Re 0.524 0.423 0.677
Re 0.573 0.874 0.726
Re 0.874 0.573 0.827
Os 0.125 0.781 0.285
Os 0.441 0.965 0.469
Os 0.781 0.125 0.809
Os 0.965 0.441 0.125

Peak list (10 most intense, 2θ from 10° to 90°, sorted by position)
2θ = 38.1°, 2.362 Å, rel. 21; 2θ = 39.9°, 2.260 Å, rel. 30; 2θ = 40.1°, 2.249 Å, rel. 100; 2θ = 40.6°, 2.224 Å, rel. 28; 2θ = 42.3°, 2.137 Å, rel. 69; 2θ = 44.6°, 2.033 Å, rel. 15; 2θ = 48.8°, 1.865 Å, rel. 35; 2θ = 56.4°, 1.633 Å, rel. 13; 2θ = 69.5°, 1.353 Å, rel. 18; 2θ = 74.5°, 1.273 Å, rel. 13

[4]
Starting from a DFT-relaxed cell (GGA-PBE, Alexandria), the powder diffractogram of Gd3Y13O24 was computed for λ = 1.5418 Å (Cu Kα).
Intensities are scaled so that the largest is 100.

Structural model:
Cell: 9.290 9.290 10.729 Å, 125.22 125.22 70.57°
Fractional coordinates of all 40 atoms:
Gd 0.000 0.000 0.000
Gd 0.251 0.314 0.032
Gd 0.686 0.749 0.968
Y 0.186 0.250 0.468
Y 0.218 0.780 0.749
Y 0.220 0.782 0.251
Y 0.435 0.565 0.500
Y 0.467 0.032 0.716
Y 0.469 0.031 0.218
Y 0.502 0.498 0.000
Y 0.716 0.281 0.748
Y 0.719 0.284 0.252
Y 0.750 0.814 0.532
Y 0.936 0.064 0.500
Y 0.968 0.533 0.284
Y 0.969 0.531 0.782
O 0.176 0.545 0.241
O 0.187 0.010 0.489
O 0.209 0.049 0.978
O 0.229 0.511 0.522
O 0.250 0.554 0.010
O 0.263 0.023 0.264
O 0.446 0.750 0.990
O 0.447 0.293 0.718
O 0.455 0.824 0.759
O 0.483 0.239 0.980
O 0.489 0.771 0.478
O 0.491 0.313 0.294
O 0.676 0.042 0.479
O 0.687 0.509 0.706
O 0.707 0.553 0.282
O 0.730 0.013 0.221
O 0.747 0.053 0.790
O 0.761 0.517 0.020
O 0.947 0.253 0.210
O 0.951 0.791 0.022
O 0.958 0.324 0.521
O 0.977 0.737 0.736
O 0.987 0.270 0.779
O 0.990 0.813 0.511

Peak list (10 most intense, 2θ from 10° to 90°, sorted by position)
2θ = 20.3°, 4.381 Å, rel. 15; 2θ = 28.8°, 3.098 Å, rel. 100; 2θ = 33.4°, 2.683 Å, rel. 28; 2θ = 35.5°, 2.530 Å, rel. 7; 2θ = 43.0°, 2.105 Å, rel. 10; 2θ = 48.0°, 1.897 Å, rel. 42; 2θ = 52.6°, 1.741 Å, rel. 7; 2θ = 56.9°, 1.618 Å, rel. 30; 2θ = 58.3°, 1.582 Å, rel. 7; 2θ = 77.5°, 1.231 Å, rel. 7

[5]
Starting from a DFT-relaxed cell (GGA-PBE, Alexandria), the powder diffractogram of NdSm2Ho9 was computed for λ = 1.5418 Å (Cu Kα).
Intensities are scaled so that the largest is 100.

Structural model:
Cell: 5.026 5.026 15.066 Å, 90.00 90.00 90.00°
Fractional coordinates of all 12 atoms:
Nd 0.000 0.000 0.000
Sm 0.000 0.000 0.334
Sm 0.000 0.000 0.666
Ho 0.000 0.500 0.167
Ho 0.000 0.500 0.500
Ho 0.000 0.500 0.833
Ho 0.500 0.000 0.167
Ho 0.500 0.000 0.500
Ho 0.500 0.000 0.833
Ho 0.500 0.500 0.000
Ho 0.500 0.500 0.334
Ho 0.500 0.500 0.666

Peak list (8 most intense, 2θ from 10° to 90°, sorted by position)
2θ = 30.8°, 2.901 Å, rel. 100; 2θ = 35.7°, 2.512 Å, rel. 51; 2θ = 51.4°, 1.776 Å, rel. 36; 2θ = 61.2°, 1.515 Å, rel. 43; 2θ = 64.2°, 1.450 Å, rel. 12; 2θ = 75.7°, 1.256 Å, rel. 6; 2θ = 84.0°, 1.153 Å, rel. 18; 2θ = 86.7°, 1.123 Å, rel. 17

[6]
Starting from a DFT-relaxed cell (GGA-PBE, Alexandria), the powder diffractogram of PmYSc was computed for λ = 1.5418 Å (Cu Kα).
Intensities are scaled so that the largest is 100.

Structural model:
Cell: 3.479 5.258 10.122 Å, 90.00 99.87 90.00°
Fractional coordinates of all 6 atoms:
Pm 0.204 0.250 0.409
Pm 0.796 0.750 0.591
Y 0.391 0.250 0.782
Y 0.609 0.750 0.218
Sc 0.038 0.250 0.077
Sc 0.962 0.750 0.923

Peak list (10 most intense, 2θ from 10° to 90°, sorted by position)
2θ = 24.6°, 3.618 Å, rel. 36; 2θ = 31.2°, 2.871 Å, rel. 100; 2θ = 31.8°, 2.810 Å, rel. 76; 2θ = 34.1°, 2.626 Å, rel. 63; 2θ = 34.2°, 2.621 Å, rel. 27; 2θ = 49.1°, 1.856 Å, rel. 39; 2θ = 59.2°, 1.560 Å, rel. 16; 2θ = 59.6°, 1.550 Å, rel. 12; 2θ = 60.2°, 1.538 Å, rel. 22; 2θ = 62.8°, 1.479 Å, rel. 21

[7]
Starting from a DFT-relaxed cell (GGA-PBE, Alexandria), the powder diffractogram of Rb4InH5 was computed for λ = 1.5418 Å (Cu Kα).
Intensities are scaled so that the largest is 100.

Structural model:
Cell: 6.982 6.982 6.982 Å, 100.46 100.46 129.56°
Fractional coordinates of all 10 atoms:
Rb 0.101 0.290 0.392
Rb 0.290 0.899 0.189
Rb 0.710 0.101 0.811
Rb 0.899 0.710 0.608
In 0.460 0.460 0.000
H 0.226 0.594 0.806
H 0.420 0.226 0.632
H 0.594 0.788 0.368
H 0.783 0.783 0.000
H 0.788 0.420 0.194

Peak list (10 most intense, 2θ from 10° to 90°, sorted by position)
2θ = 26.9°, 3.317 Å, rel. 100; 2θ = 30.0°, 2.975 Å, rel. 19; 2θ = 31.7°, 2.825 Å, rel. 35; 2θ = 44.2°, 2.048 Å, rel. 26; 2θ = 45.4°, 1.997 Å, rel. 12; 2θ = 51.4°, 1.776 Å, rel. 15; 2θ = 53.6°, 1.711 Å, rel. 28; 2θ = 55.4°, 1.658 Å, rel. 13; 2θ = 71.0°, 1.327 Å, rel. 11; 2θ = 83.1°, 1.163 Å, rel. 8

[8]
Starting from a DFT-relaxed cell (GGA-PBE, Alexandria), the powder diffractogram of Ca2SmTlHg4 was computed for λ = 1.5418 Å (Cu Kα).
Intensities are scaled so that the largest is 100.

Structural model:
Cell: 9.401 9.401 9.401 Å, 32.76 32.76 32.76°
Fractional coordinates of all 8 atoms:
Ca 0.242 0.242 0.242
Ca 0.758 0.758 0.758
Sm 0.000 0.000 0.000
Tl 0.500 0.500 0.500
Hg 0.120 0.120 0.120
Hg 0.367 0.367 0.367
Hg 0.633 0.633 0.633
Hg 0.880 0.880 0.880

Peak list (10 most intense, 2θ from 10° to 90°, sorted by position)
2θ = 20.5°, 4.342 Å, rel. 14; 2θ = 23.5°, 3.782 Å, rel. 20; 2θ = 33.2°, 2.697 Å, rel. 96; 2θ = 33.8°, 2.651 Å, rel. 100; 2θ = 48.1°, 1.891 Å, rel. 34; 2θ = 59.0°, 1.567 Å, rel. 14; 2θ = 60.1°, 1.539 Å, rel. 35; 2θ = 60.5°, 1.531 Å, rel. 20; 2θ = 71.1°, 1.326 Å, rel. 14; 2θ = 80.8°, 1.190 Å, rel. 16

[9]
Starting from a DFT-relaxed cell (GGA-PBE, Alexandria), the powder diffractogram of LaPr3Pb3 was computed for λ = 1.5418 Å (Cu Kα).
Intensities are scaled so that the largest is 100.

Structural model:
Cell: 9.713 9.713 5.646 Å, 90.00 90.00 120.00°
Fractional coordinates of all 14 atoms:
La 0.333 0.667 0.250
La 0.667 0.333 0.750
Pr 0.002 0.761 0.250
Pr 0.239 0.242 0.250
Pr 0.242 0.002 0.750
Pr 0.758 0.998 0.250
Pr 0.761 0.758 0.750
Pr 0.998 0.239 0.750
Pb 0.076 0.623 0.750
Pb 0.377 0.453 0.750
Pb 0.453 0.076 0.250
Pb 0.547 0.924 0.750
Pb 0.623 0.547 0.250
Pb 0.924 0.377 0.250

Peak list (10 most intense, 2θ from 10° to 90°, sorted by position)
2θ = 26.4°, 3.373 Å, rel. 6; 2θ = 28.1°, 3.179 Å, rel. 22; 2θ = 31.7°, 2.823 Å, rel. 27; 2θ = 32.3°, 2.770 Å, rel. 100; 2θ = 42.8°, 2.111 Å, rel. 14; 2θ = 49.7°, 1.836 Å, rel. 14; 2θ = 56.9°, 1.619 Å, rel. 21; 2θ = 60.1°, 1.539 Å, rel. 16; 2θ = 60.5°, 1.530 Å, rel. 8; 2θ = 82.0°, 1.175 Å, rel. 7

[10]
Starting from a DFT-relaxed cell (GGA-PBE, Alexandria), the powder diffractogram of PrZnGa3Ni was computed for λ = 1.5418 Å (Cu Kα).
Intensities are scaled so that the largest is 100.

Structural model:
Cell: 6.916 6.916 6.085 Å, 90.00 90.00 129.08°
Fractional coordinates of all 12 atoms:
Pr 0.219 0.781 0.750
Pr 0.781 0.219 0.250
Zn 0.150 0.850 0.250
Zn 0.850 0.150 0.750
Ga 0.214 0.214 0.000
Ga 0.214 0.214 0.500
Ga 0.361 0.639 0.250
Ga 0.639 0.361 0.750
Ga 0.786 0.786 0.000
Ga 0.786 0.786 0.500
Ni 0.438 0.562 0.750
Ni 0.562 0.438 0.250

Peak list (10 most intense, 2θ from 10° to 90°, sorted by position)
2θ = 29.4°, 3.043 Å, rel. 25; 2θ = 30.0°, 2.974 Å, rel. 56; 2θ = 32.7°, 2.735 Å, rel. 63; 2θ = 33.4°, 2.684 Å, rel. 53; 2θ = 39.1°, 2.303 Å, rel. 22; 2θ = 39.7°, 2.270 Å, rel. 20; 2θ = 41.9°, 2.154 Å, rel. 81; 2θ = 42.5°, 2.126 Å, rel. 100; 2θ = 60.9°, 1.522 Å, rel. 40; 2θ = 61.7°, 1.504 Å, rel. 21

[11]
Starting from a DFT-relaxed cell (GGA-PBE, Alexandria), the powder diffractogram of Nd2BRh2 was computed for λ = 1.5418 Å (Cu Kα).
Intensities are scaled so that the largest is 100.

Structural model:
Cell: 7.157 7.157 7.157 Å, 130.37 73.06 130.07°
Fractional coordinates of all 10 atoms:
Nd 0.141 0.178 0.319
Nd 0.359 0.678 0.037
Nd 0.641 0.322 0.963
Nd 0.859 0.822 0.681
B 0.250 0.750 0.500
B 0.750 0.250 0.500
Rh 0.099 0.663 0.762
Rh 0.401 0.163 0.564
Rh 0.599 0.837 0.436
Rh 0.901 0.337 0.238

Peak list (10 most intense, 2θ from 10° to 90°, sorted by position)
2θ = 29.6°, 3.021 Å, rel. 100; 2θ = 29.7°, 3.004 Å, rel. 29; 2θ = 31.1°, 2.876 Å, rel. 66; 2θ = 34.2°, 2.619 Å, rel. 91; 2θ = 37.7°, 2.383 Å, rel. 38; 2θ = 41.0°, 2.202 Å, rel. 59; 2θ = 42.4°, 2.130 Å, rel. 25; 2θ = 43.4°, 2.083 Å, rel. 56; 2θ = 55.5°, 1.655 Å, rel. 23; 2θ = 68.9°, 1.362 Å, rel. 31

[12]
Starting from a DFT-relaxed cell (GGA-PBE, Alexandria), the powder diffractogram of AgS4 was computed for λ = 1.5418 Å (Cu Kα).
Intensities are scaled so that the largest is 100.

Structural model:
Cell: 4.007 5.286 7.237 Å, 77.74 74.12 67.94°
Fractional coordinates of all 5 atoms:
Ag 0.000 0.000 0.000
S 0.408 0.720 0.467
S 0.476 0.225 0.823
S 0.524 0.775 0.177
S 0.592 0.280 0.533

Peak list (10 most intense, 2θ from 10° to 90°, sorted by position)
2θ = 12.8°, 6.908 Å, rel. 37; 2θ = 18.2°, 4.862 Å, rel. 39; 2θ = 21.0°, 4.228 Å, rel. 100; 2θ = 25.2°, 3.537 Å, rel. 58; 2θ = 25.8°, 3.454 Å, rel. 25; 2θ = 30.2°, 2.961 Å, rel. 17; 2θ = 31.7°, 2.823 Å, rel. 25; 2θ = 36.9°, 2.438 Å, rel. 47; 2θ = 41.7°, 2.167 Å, rel. 29; 2θ = 51.4°, 1.779 Å, rel. 21

What did the second record say?
Starting from a DFT-relaxed cell (GGA-PBE, Alexandria), the powder diffractogram of LaAl2Pt5 was computed for λ = 1.5418 Å (Cu Kα).
Intensities are scaled so that the largest is 100.

Structural model:
Cell: 6.490 6.490 6.490 Å, 144.40 113.26 77.99°
Fractional coordinates of all 8 atoms:
La 0.000 0.000 0.000
Al 0.259 0.759 0.500
Al 0.741 0.241 0.500
Pt 0.157 0.355 0.801
Pt 0.446 0.645 0.801
Pt 0.500 0.000 0.500
Pt 0.554 0.355 0.199
Pt 0.843 0.645 0.199

Peak list (10 most intense, 2θ from 10° to 90°, sorted by position)
2θ = 15.2°, 5.828 Å, rel. 15; 2θ = 30.7°, 2.914 Å, rel. 12; 2θ = 35.0°, 2.566 Å, rel. 100; 2θ = 44.0°, 2.060 Å, rel. 22; 2θ = 44.4°, 2.041 Å, rel. 19; 2θ = 45.7°, 1.984 Å, rel. 15; 2θ = 46.8°, 1.943 Å, rel. 9; 2θ = 65.3°, 1.429 Å, rel. 14; 2θ = 75.0°, 1.267 Å, rel. 11; 2θ = 77.5°, 1.231 Å, rel. 10